1.
Computed powder diffractogram
Compound: LiFeF3
Radiation: Cu Kα (weighted mean of Kα1 and Kα2)
Structure: a cell relaxed with GGA+U

Peak list (10 most intense, 2θ from 10° to 80°, low angle first)
- 13.29°, I = 41
- 17.86°, I = 100
- 25.77°, I = 22
- 28.54°, I = 29
- 28.74°, I = 16
- 33.06°, I = 19
- 36.87°, I = 19
- 40.75°, I = 48
- 42.46°, I = 17
- 57.78°, I = 16

Atomic structure:
Cell lengths 10.2674, 8.9801, 5.6729 Å; angles 90.00, 104.67, 90.00 degrees
Space group P2_1/c (No. 14)
Asymmetric unit:
Li 0.0431 0.1671 0.2379 (multiplicity 4)
Li 0.4378 0.1695 0.6458 (multiplicity 4)
Fe 0.2582 0.0331 0.0621 (multiplicity 4)
Fe 0.2576 0.6549 0.0597 (multiplicity 4)
F 0.1090 0.1805 0.9546 (multiplicity 4)
F 0.1452 0.5099 0.8340 (multiplicity 4)
F 0.1518 0.6572 0.3448 (multiplicity 4)
F 0.3565 0.0146 0.7844 (multiplicity 4)
F 0.3629 0.6692 0.7593 (multiplicity 4)
F 0.3969 0.1567 0.3022 (multiplicity 4)

***

2.
Computed powder diffractogram
Compound: LiFe2F5
Radiation: Cu Kα (weighted mean of Kα1 and Kα2)
Structure: a cell relaxed with GGA+U

Peak list (10 most intense, 2θ from 10° to 80°, low angle first)
- 19.98°, I = 39
- 22.14°, I = 45
- 22.94°, I = 100
- 26.11°, I = 34
- 28.10°, I = 51
- 29.51°, I = 66
- 30.72°, I = 36
- 40.90°, I = 25
- 43.82°, I = 34
- 49.00°, I = 28

Atomic structure:
Cell lengths 14.1574, 6.7990, 10.0251 Å; angles 90.00, 117.54, 90.00 degrees
Space group C2/c (No. 15)
Asymmetric unit:
Li 0.1846 0.1108 0.3126 (multiplicity 8)
Fe 0.0571 0.2115 0.5034 (multiplicity 8)
Fe 0.1497 0.3757 0.8658 (multiplicity 8)
F 0.0236 0.3621 0.9054 (multiplicity 8)
F 0.0717 0.0361 0.1330 (multiplicity 8)
F 0.1213 0.3132 0.3751 (multiplicity 8)
F 0.1872 0.3442 0.6968 (multiplicity 8)
F 0.1998 0.0845 0.9520 (multiplicity 8)